For CeDy4P5, a cell relaxed with PBE gives the theoretical powder X-ray diffraction pattern in this record (a wavelength of 1.5418 Å).
Intensities are scaled so that the largest is 1000.

Most intense lines, 2θ from 10° to 90°, sorted by position:
3.281 Å, 2θ 27.2, rel. 855
2.841 Å, 2θ 31.5, rel. 1000
2.009 Å, 2θ 45.1, rel. 730
1.713 Å, 2θ 53.5, rel. 416
1.641 Å, 2θ 56.1, rel. 255
1.421 Å, 2θ 65.7, rel. 118
1.304 Å, 2θ 72.5, rel. 167
1.271 Å, 2θ 74.7, rel. 328
1.160 Å, 2θ 83.3, rel. 250
1.094 Å, 2θ 89.6, rel. 134

Crystal structure
```
CeDy4P5
1.0
-4.492 4.492 2.843
4.492 -4.492 2.843
4.492 4.492 -2.843
Ce Dy P
1 4 5
Cartesian
0.000 0.000 0.000 Ce
5.394 1.785 0.000 Dy
1.785 3.589 0.000 Dy
2.707 0.902 2.843 Dy
-0.902 2.707 2.843 Dy
2.692 0.893 0.000 P
3.599 -1.800 2.843 P
0.000 0.000 2.843 P
0.893 6.291 0.000 P
1.800 3.599 2.843 P
```